NaCo3P3O13: simulated X-ray diffraction stick pattern (a wavelength of 1.5418 Å), based on a PBE+U-relaxed structure.
Neutral-atom scattering factors, no anomalous dispersion.

```
data_NaCo3P3O13
_chemical_formula_sum 'Na2 Co6 P6 O26'
_cell_length_a 7.4880
_cell_length_b 6.1961
_cell_length_c 10.5794
_cell_angle_alpha 90.00
_cell_angle_beta 99.80
_cell_angle_gamma 90.00
_space_group_name_H-M_alt 'P 1 21/m 1'
_space_group_IT_number 11
loop_
_space_group_symop_operation_xyz
'x,y,z'
'-x,-y,-z'
'-x,y+1/2,-z'
'x,-y+1/2,z'
loop_
_atom_site_label
_atom_site_type_symbol
_atom_site_fract_x
_atom_site_fract_y
_atom_site_fract_z
Na1 Na 0.1722 0.2500 0.1975
Co1 Co 0.1273 0.2500 0.8038
Co2 Co 0.2801 0.7500 0.4432
Co3 Co 0.5000 0.0000 0.0000
P1 P 0.1953 0.7500 0.1141
P2 P 0.2465 0.7500 0.7643
P3 P 0.2815 0.2500 0.5242
O1 O 0.0013 0.2500 0.9610
O2 O 0.1279 0.5542 0.7893
O3 O 0.1460 0.2500 0.6169
O4 O 0.1580 0.7500 0.2554
O5 O 0.2436 0.0520 0.4325
O6 O 0.2994 0.5423 0.0903
O7 O 0.3055 0.7500 0.6338
O8 O 0.3821 0.2500 0.9180
O9 O 0.4177 0.7500 0.8721
O10 O 0.4783 0.2500 0.5976
```

The 6 most intense peaks (2θ from 10° to 90°), in order of rising 2θ:
| two_theta | I (rel.) | h k l |
| --- | --- | --- |
| 16.64 | 46 | 0 1 1 |
| 19.10 | 100 | 1 0 -2 |
| 24.14 | 66 | 2 0 0 |
| 26.97 | 58 | 2 0 1 |
| 28.82 | 62 | 0 2 0 |
| 30.24 | 62 | 1 0 3 |